Theoretical PXRD pattern
Compound: HfScCrIr
Radiation: copper Kα
Structure: a crystal structure in Alexandria, relaxed with PBE

Top 5 peaks for 5 to 70 degrees two-theta, low angle first:
- d = 3.746 Å, rel. 393, (1 1 1)
- d = 2.294 Å, rel. 1000, (2 2 0)
- d = 1.956 Å, rel. 214, (3 1 1)
- d = 1.622 Å, rel. 169, (4 0 0)
- d = 1.489 Å, rel. 93, (3 3 1)

Structural model:
```
data_HfScCrIr
_symmetry_space_group_name_H-M 'F -4 3 m'
_symmetry_Int_Tables_number 216
_symmetry_space_group_name_Hall 'F -4 2 3'
_cell_length_a 6.488
_cell_length_b 6.488
_cell_length_c 6.488
_cell_angle_alpha 90.00
_cell_angle_beta 90.00
_cell_angle_gamma 90.00
loop_
_atom_site_label
_atom_site_fract_x
_atom_site_fract_y
_atom_site_fract_z
Hf1 0.000 0.000 0.000
Sc1 0.000 0.000 0.500
Cr1 0.250 0.250 0.750
Ir1 0.250 0.250 0.250
```